[1]
The following is a calculated powder XRD pattern of U2InGa9. It was derived from the PBE geometry in Alexandria, using Cu Kα, 1.54184 Å.
Intensities are scaled so that the largest is 100.

Main lines, by angle (10 to 90 degrees two-theta):
2θ/deg  I_rel  hkl
21.0  16  1 0 0
29.1  14  1 0 3
36.2  100  1 1 3
40.7  17  0 0 6
42.6  32  2 0 0
60.4  21  2 0 6
61.9  11  2 2 0
71.1  12  1 1 9
73.8  25  3 1 3
76.7  11  2 2 6

Structure:
a b c (Å): 4.2399 4.2399 13.3060
angles (deg): 90.00 90.00 90.00
Sites, in units of the cell vectors:
U (0.0000, 0.0000, 0.1614)
U (0.0000, 0.0000, 0.8386)
In (0.0000, 0.0000, 0.5000)
Ga (0.0000, 0.5000, 0.0000)
Ga (0.0000, 0.5000, 0.3233)
Ga (0.0000, 0.5000, 0.6767)
Ga (0.5000, 0.0000, 0.0000)
Ga (0.5000, 0.0000, 0.3233)
Ga (0.5000, 0.0000, 0.6767)
Ga (0.5000, 0.5000, 0.1557)
Ga (0.5000, 0.5000, 0.5000)
Ga (0.5000, 0.5000, 0.8443)



[2]
The following is a calculated powder XRD pattern of Ac3SbO3. It was derived from the PBE geometry in Alexandria, using Cu Kα, 1.54184 Å.
Intensities are scaled so that the largest is 100.

Main lines, by angle (10 to 90 degrees two-theta):
2θ/deg  I_rel  hkl
27.0  95  1 1 1
27.2  79  2 1 0
28.9  100  2 0 1
30.9  35  3 0 0
34.1  22  1 2 1
37.4  21  1 3 0
41.1  23  0 0 2
42.9  31  1 3 1
50.0  31  2 1 2
50.4  55  3 2 1

Structure:
a b c (Å): 10.0116 10.0116 4.3938
angles (deg): 90.00 90.00 120.00
Sites, in units of the cell vectors:
Ac (0.0921, 0.7148, 0.2500)
Ac (0.2852, 0.3773, 0.2500)
Ac (0.3773, 0.0921, 0.7500)
Ac (0.6227, 0.9079, 0.2500)
Ac (0.7148, 0.6227, 0.7500)
Ac (0.9079, 0.2852, 0.7500)
Sb (0.3333, 0.6667, 0.7500)
Sb (0.6667, 0.3333, 0.2500)
O (0.0194, 0.2890, 0.2500)
O (0.2696, 0.9806, 0.2500)
O (0.2890, 0.2696, 0.7500)
O (0.7110, 0.7304, 0.2500)
O (0.7304, 0.0194, 0.7500)
O (0.9806, 0.7110, 0.7500)



Which formula does entry 2 have? Ac3SbO3